(1)
Li3CrP2O8: theoretical powder diffractogram (Cu Kα (weighted mean of Kα1 and Kα2)), based on a crystal structure in the Materials Project, relaxed with GGA+U.
No peak broadening, texture or thermal motion is included.

The 10 most intense peaks (2θ = 5–70°), low angle first:
(0 1 1), 17.1 deg, d 5.188, I = 100
(1 1 0), 24.2 deg, d 3.676, I = 73
(0 2 1), 24.6 deg, d 3.615, I = 42
(1 1 -2), 25.8 deg, d 3.454, I = 62
(1 2 0), 30.1 deg, d 2.970, I = 26
(1 2 -2), 31.4 deg, d 2.849, I = 26
(1 1 1), 33.7 deg, d 2.661, I = 29
(0 2 2), 34.6 deg, d 2.594, I = 61
(1 3 -1), 35.9 deg, d 2.501, I = 54
(2 1 -2), 38.2 deg, d 2.355, I = 42

Atomic structure:
abc: 4.908 8.728 7.812
angles: 90.00 124.34 90.00
Space group P2_1/c (No. 14)
Symmetry-distinct sites (fractional):
Li 0.000 0.000 0.000
Li 0.324 0.140 0.807
Cr 0.500 0.000 0.500
P 0.195 0.681 0.223
O 0.147 0.135 0.476
O 0.183 0.641 0.751
O 0.258 0.597 0.412
O 0.475 0.643 0.191

=====

(2)
LiCrP2O7: theoretical powder diffractogram (Cu Kα (weighted mean of Kα1 and Kα2)), based on a crystal structure in the Materials Project, relaxed with GGA+U.
No peak broadening, texture or thermal motion is included.

The 10 most intense peaks (2θ = 5–70°), low angle first:
(1 1 -1), 17.3 deg, d 5.138, I = 100
(1 0 -2), 19.5 deg, d 4.556, I = 16
(1 1 1), 22.0 deg, d 4.036, I = 21
(0 1 2), 22.5 deg, d 3.952, I = 37
(1 2 -1), 25.5 deg, d 3.489, I = 16
(2 0 0), 26.7 deg, d 3.333, I = 18
(2 1 0), 28.9 deg, d 3.088, I = 33
(2 1 -2), 29.2 deg, d 3.057, I = 18
(0 2 2), 29.4 deg, d 3.035, I = 72
(1 1 -3), 30.0 deg, d 2.978, I = 22

Atomic structure:
abc: 7.127 8.210 9.639
angles: 90.00 110.71 90.00
Space group P2_1/c (No. 14)
Symmetry-distinct sites (fractional):
Li 0.177 0.112 0.247
Cr 0.232 0.001 0.751
P 0.184 0.693 0.945
P 0.407 0.230 0.053
O 0.062 0.559 0.840
O 0.122 0.635 0.382
O 0.191 0.682 0.105
O 0.280 0.165 0.615
O 0.287 0.196 0.889
O 0.405 0.657 0.941
O 0.483 0.076 0.146

=====

(3)
LiCrP4O13: theoretical powder diffractogram (Cu Kα (weighted mean of Kα1 and Kα2)), based on a crystal structure in the Materials Project, relaxed with GGA+U.
No peak broadening, texture or thermal motion is included.

The 10 most intense peaks (2θ = 5–70°), low angle first:
(0 1 0), 11.6 deg, d 7.657, I = 10
(0 0 2), 13.3 deg, d 6.634, I = 100
(0 1 -2), 19.3 deg, d 4.594, I = 9
(1 1 0), 19.5 deg, d 4.546, I = 15
(1 0 2), 22.0 deg, d 4.039, I = 18
(-1 1 2), 24.9 deg, d 3.573, I = 26
(1 2 0), 27.1 deg, d 3.293, I = 14
(1 -1 2), 27.2 deg, d 3.274, I = 7
(1 2 2), 28.2 deg, d 3.169, I = 19
(0 2 -2), 29.1 deg, d 3.070, I = 14

Atomic structure:
abc: 5.140 7.889 13.530
angles: 78.72 88.25 81.60
Space group P1 (No. 1)
Symmetry-distinct sites (fractional):
Li 0.000 0.000 0.000
Li 0.497 0.308 0.497
Cr 0.094 0.616 0.246
Cr 0.997 0.710 0.760
P 0.192 0.089 0.683
P 0.224 0.010 0.200
P 0.458 0.860 0.861
P 0.534 0.558 0.657
P 0.556 0.768 0.350
P 0.637 0.467 0.142
P 0.860 0.320 0.808
P 0.902 0.241 0.324
O 0.007 0.950 0.693
O 0.032 0.259 0.716
O 0.058 0.066 0.295
O 0.094 0.861 0.174
O 0.096 0.372 0.315
O 0.237 0.628 0.662
O 0.253 0.153 0.115
O 0.299 0.719 0.840
O 0.311 0.145 0.584
O 0.348 0.544 0.145
O 0.357 0.918 0.956
O 0.384 0.629 0.339
O 0.416 0.024 0.767
O 0.472 0.840 0.446
O 0.504 0.926 0.253
O 0.583 0.399 0.756
O 0.603 0.482 0.565
O 0.687 0.304 0.235
O 0.703 0.697 0.674
O 0.719 0.411 0.044
O 0.756 0.797 0.861
O 0.764 0.197 0.420
O 0.810 0.604 0.158
O 0.834 0.175 0.893
O 0.847 0.696 0.348
O 0.988 0.475 0.829

=====

(4)
LiCrPO4: theoretical powder diffractogram (Cu Kα (weighted mean of Kα1 and Kα2)), based on a crystal structure in the Materials Project, relaxed with GGA+U.
No peak broadening, texture or thermal motion is included.

The 10 most intense peaks (2θ = 5–70°), low angle first:
(1 0 0), 19.2 deg, d 4.615, I = 61
(1 1 0), 20.4 deg, d 4.344, I = 36
(1 0 1), 23.4 deg, d 3.807, I = 78
(1 0 -1), 23.9 deg, d 3.720, I = 35
(1 1 1), 24.4 deg, d 3.645, I = 28
(1 -1 0), 32.5 deg, d 2.759, I = 61
(0 1 -2), 33.5 deg, d 2.672, I = 100
(1 1 2), 34.1 deg, d 2.626, I = 39
(1 2 0), 34.7 deg, d 2.586, I = 56
(2 1 0), 35.3 deg, d 2.543, I = 61

Atomic structure:
abc: 5.101 5.195 6.497
angles: 89.51 88.54 64.82
Space group P1 (No. 1)
Symmetry-distinct sites (fractional):
Li 0.000 0.000 0.000
Li 0.332 0.309 0.496
Cr 0.687 0.658 0.254
Cr 0.723 0.646 0.770
P 0.398 0.281 0.998
P 0.995 0.035 0.495
O 0.215 0.400 0.193
O 0.232 0.374 0.799
O 0.329 0.929 0.488
O 0.522 0.940 0.008
O 0.656 0.375 0.994
O 0.836 0.377 0.505
O 0.887 0.950 0.301
O 0.898 0.930 0.693

=====

What did the fourth record say?
LiCrPO4: theoretical powder diffractogram (Cu Kα (weighted mean of Kα1 and Kα2)), based on a crystal structure in the Materials Project, relaxed with GGA+U.
No peak broadening, texture or thermal motion is included.

The 10 most intense peaks (2θ = 5–70°), low angle first:
(1 0 0), 19.2 deg, d 4.615, I = 61
(1 1 0), 20.4 deg, d 4.344, I = 36
(1 0 1), 23.4 deg, d 3.807, I = 78
(1 0 -1), 23.9 deg, d 3.720, I = 35
(1 1 1), 24.4 deg, d 3.645, I = 28
(1 -1 0), 32.5 deg, d 2.759, I = 61
(0 1 -2), 33.5 deg, d 2.672, I = 100
(1 1 2), 34.1 deg, d 2.626, I = 39
(1 2 0), 34.7 deg, d 2.586, I = 56
(2 1 0), 35.3 deg, d 2.543, I = 61

Atomic structure:
abc: 5.101 5.195 6.497
angles: 89.51 88.54 64.82
Space group P1 (No. 1)
Symmetry-distinct sites (fractional):
Li 0.000 0.000 0.000
Li 0.332 0.309 0.496
Cr 0.687 0.658 0.254
Cr 0.723 0.646 0.770
P 0.398 0.281 0.998
P 0.995 0.035 0.495
O 0.215 0.400 0.193
O 0.232 0.374 0.799
O 0.329 0.929 0.488
O 0.522 0.940 0.008
O 0.656 0.375 0.994
O 0.836 0.377 0.505
O 0.887 0.950 0.301
O 0.898 0.930 0.693

=====

Copy entry 2 word for word.
LiCrP2O7: theoretical powder diffractogram (Cu Kα (weighted mean of Kα1 and Kα2)), based on a crystal structure in the Materials Project, relaxed with GGA+U.
No peak broadening, texture or thermal motion is included.

The 10 most intense peaks (2θ = 5–70°), low angle first:
(1 1 -1), 17.3 deg, d 5.138, I = 100
(1 0 -2), 19.5 deg, d 4.556, I = 16
(1 1 1), 22.0 deg, d 4.036, I = 21
(0 1 2), 22.5 deg, d 3.952, I = 37
(1 2 -1), 25.5 deg, d 3.489, I = 16
(2 0 0), 26.7 deg, d 3.333, I = 18
(2 1 0), 28.9 deg, d 3.088, I = 33
(2 1 -2), 29.2 deg, d 3.057, I = 18
(0 2 2), 29.4 deg, d 3.035, I = 72
(1 1 -3), 30.0 deg, d 2.978, I = 22

Atomic structure:
abc: 7.127 8.210 9.639
angles: 90.00 110.71 90.00
Space group P2_1/c (No. 14)
Symmetry-distinct sites (fractional):
Li 0.177 0.112 0.247
Cr 0.232 0.001 0.751
P 0.184 0.693 0.945
P 0.407 0.230 0.053
O 0.062 0.559 0.840
O 0.122 0.635 0.382
O 0.191 0.682 0.105
O 0.280 0.165 0.615
O 0.287 0.196 0.889
O 0.405 0.657 0.941
O 0.483 0.076 0.146

=====

Copy entry 3 word for word.
LiCrP4O13: theoretical powder diffractogram (Cu Kα (weighted mean of Kα1 and Kα2)), based on a crystal structure in the Materials Project, relaxed with GGA+U.
No peak broadening, texture or thermal motion is included.

The 10 most intense peaks (2θ = 5–70°), low angle first:
(0 1 0), 11.6 deg, d 7.657, I = 10
(0 0 2), 13.3 deg, d 6.634, I = 100
(0 1 -2), 19.3 deg, d 4.594, I = 9
(1 1 0), 19.5 deg, d 4.546, I = 15
(1 0 2), 22.0 deg, d 4.039, I = 18
(-1 1 2), 24.9 deg, d 3.573, I = 26
(1 2 0), 27.1 deg, d 3.293, I = 14
(1 -1 2), 27.2 deg, d 3.274, I = 7
(1 2 2), 28.2 deg, d 3.169, I = 19
(0 2 -2), 29.1 deg, d 3.070, I = 14

Atomic structure:
abc: 5.140 7.889 13.530
angles: 78.72 88.25 81.60
Space group P1 (No. 1)
Symmetry-distinct sites (fractional):
Li 0.000 0.000 0.000
Li 0.497 0.308 0.497
Cr 0.094 0.616 0.246
Cr 0.997 0.710 0.760
P 0.192 0.089 0.683
P 0.224 0.010 0.200
P 0.458 0.860 0.861
P 0.534 0.558 0.657
P 0.556 0.768 0.350
P 0.637 0.467 0.142
P 0.860 0.320 0.808
P 0.902 0.241 0.324
O 0.007 0.950 0.693
O 0.032 0.259 0.716
O 0.058 0.066 0.295
O 0.094 0.861 0.174
O 0.096 0.372 0.315
O 0.237 0.628 0.662
O 0.253 0.153 0.115
O 0.299 0.719 0.840
O 0.311 0.145 0.584
O 0.348 0.544 0.145
O 0.357 0.918 0.956
O 0.384 0.629 0.339
O 0.416 0.024 0.767
O 0.472 0.840 0.446
O 0.504 0.926 0.253
O 0.583 0.399 0.756
O 0.603 0.482 0.565
O 0.687 0.304 0.235
O 0.703 0.697 0.674
O 0.719 0.411 0.044
O 0.756 0.797 0.861
O 0.764 0.197 0.420
O 0.810 0.604 0.158
O 0.834 0.175 0.893
O 0.847 0.696 0.348
O 0.988 0.475 0.829